# 1
The following is a simulated XRD peak list of Gd2Te4O11. It was derived from a GGA-PBE-relaxed structure, using Cu Kα X-rays.
Lines closer than 0.1° are merged.

```
data_Gd2Te4O11
_cell_length_a 12.403
_cell_length_b 5.126
_cell_length_c 16.000
_cell_angle_alpha 90.00
_cell_angle_beta 106.48
_cell_angle_gamma 90.00
_symmetry_space_group_name_H-M 'C 1 2/c 1'
_symmetry_Int_Tables_number 15
_symmetry_space_group_name_Hall '-C 2yc'
loop_
_atom_site_label
_atom_site_type_symbol
_atom_site_fract_x
_atom_site_fract_y
_atom_site_fract_z
Gd1 Gd 0.119 0.246 0.037
Te1 Te 0.124 0.217 0.370
Te2 Te 0.126 0.224 0.704
O1 O 0.000 0.364 0.750
O2 O 0.025 0.083 0.599
O3 O 0.069 0.388 0.454
O4 O 0.152 0.437 0.172
O5 O 0.207 0.044 0.945
O6 O 0.250 0.064 0.631
```

The 6 most intense peaks (2θ from 5° to 70°), by intensity:
Position (°2θ)	I_rel
27.15	100.0
29.89	69.4
30.05	32.6
49.59	29.4
46.80	23.4
34.01	21.4

---

# 2
The following is a simulated XRD peak list of GdYTeO2. It was derived from a GGA-PBE-relaxed structure, using Cu Kα X-rays.
Lines closer than 0.1° are merged.

```
data_GdYTeO2
_cell_length_a 3.937
_cell_length_b 3.937
_cell_length_c 12.498
_cell_angle_alpha 90.00
_cell_angle_beta 90.00
_cell_angle_gamma 90.00
_symmetry_space_group_name_H-M 'I 4 m m'
_symmetry_Int_Tables_number 107
_symmetry_space_group_name_Hall 'I 4 -2'
loop_
_atom_site_label
_atom_site_type_symbol
_atom_site_fract_x
_atom_site_fract_y
_atom_site_fract_z
Gd1 Gd 0.000 0.000 0.000
Y1 Y 0.000 0.000 0.677
Te1 Te 0.000 0.000 0.338
O1 O 0.000 0.500 0.090
```

The 6 most intense peaks (2θ from 5° to 70°), by intensity:
Position (°2θ)	I_rel
31.26	100.0
32.15	38.4
56.77	36.2
55.07	23.0
46.11	19.9
65.21	10.1

---

# 3
The following is a simulated XRD peak list of Gd6Zn3O. It was derived from a GGA-PBE-relaxed structure, using Cu Kα X-rays.
Lines closer than 0.1° are merged.

```
data_Gd6Zn3O
_cell_length_a 7.106
_cell_length_b 7.106
_cell_length_c 10.756
_cell_angle_alpha 90.00
_cell_angle_beta 90.00
_cell_angle_gamma 90.00
_symmetry_space_group_name_H-M 'I 4/m m m'
_symmetry_Int_Tables_number 139
_symmetry_space_group_name_Hall '-I 4 2'
loop_
_atom_site_label
_atom_site_type_symbol
_atom_site_fract_x
_atom_site_fract_y
_atom_site_fract_z
Gd1 Gd 0.000 0.000 0.249
Gd2 Gd 0.000 0.315 0.000
Zn1 Zn 0.000 0.000 0.500
Zn2 Zn 0.000 0.500 0.250
O1 O 0.000 0.000 0.000
```

The 6 most intense peaks (2θ from 5° to 70°), by intensity:
Position (°2θ)	I_rel
25.06	100.0
29.31	98.9
39.60	91.9
33.32	79.2
24.24	54.1
37.83	52.3

---

# 4
The following is a simulated XRD peak list of Pr2GdTm3OsSe2. It was derived from a GGA-PBE-relaxed structure, using Cu Kα X-rays.
Lines closer than 0.1° are merged.

```
data_Pr2GdTm3OsSe2
_cell_length_a 4.018
_cell_length_b 14.140
_cell_length_c 8.061
_cell_angle_alpha 90.00
_cell_angle_beta 90.00
_cell_angle_gamma 90.00
_symmetry_space_group_name_H-M 'A m m 2'
_symmetry_Int_Tables_number 38
_symmetry_space_group_name_Hall 'A 2 -2'
loop_
_atom_site_label
_atom_site_type_symbol
_atom_site_fract_x
_atom_site_fract_y
_atom_site_fract_z
Pr1 Pr 0.000 0.207 0.000
Gd1 Gd 0.000 0.000 0.396
Tm1 Tm 0.500 0.000 0.025
Tm2 Tm 0.500 0.123 0.678
Os1 Os 0.000 0.000 0.769
Se1 Se 0.500 0.162 0.296
```

The 6 most intense peaks (2θ from 5° to 70°), by intensity:
Position (°2θ)	I_rel
33.96	100.0
31.28	78.1
33.75	67.5
12.64	31.0
45.13	28.8
31.44	26.5